# 1
Computed XRD peak list
Compound: Sm2Ge2O7
Radiation: CuKα
Structure: a DFT-relaxed cell (GGA-PBE, Alexandria)
Kinematic intensities with the Lorentz-polarization factor, no thermal factor.

Crystal structure
Cell: 7.1963 7.1963 7.1963 Å, 60.00 60.00 60.00°
Positions (direct):
Sm 0.0000 0.0000 0.0000
Sm 0.0000 0.0000 0.5000
Sm 0.0000 0.5000 0.0000
Sm 0.5000 0.0000 0.0000
Ge 0.0000 0.5000 0.5000
Ge 0.5000 0.0000 0.5000
Ge 0.5000 0.5000 0.0000
Ge 0.5000 0.5000 0.5000
O 0.1250 0.1250 0.1250
O 0.1744 0.1744 0.5756
O 0.1744 0.5756 0.1744
O 0.1744 0.5756 0.5756
O 0.4244 0.4244 0.8256
O 0.4244 0.8256 0.4244
O 0.4244 0.8256 0.8256
O 0.5756 0.1744 0.1744
O 0.5756 0.1744 0.5756
O 0.5756 0.5756 0.1744
O 0.8256 0.4244 0.4244
O 0.8256 0.4244 0.8256
O 0.8256 0.8256 0.4244
O 0.8750 0.8750 0.8750

Peak list (8 most intense, 10 to 90 degrees two-theta, most intense first)
| 2θ (°) | I/Imax |
| --- | --- |
| 30.4 | 100 |
| 50.7 | 46 |
| 60.3 | 42 |
| 35.3 | 32 |
| 82.7 | 17 |
| 85.3 | 15 |
| 38.6 | 10 |
| 15.1 | 10 |

---

# 2
Computed XRD peak list
Compound: TaSnGeO6
Radiation: CuKα
Structure: a DFT-relaxed cell (GGA-PBE, Alexandria)
Kinematic intensities with the Lorentz-polarization factor, no thermal factor.

Crystal structure
Cell: 5.1835 5.1835 4.7825 Å, 90.00 90.00 120.00°
Positions (direct):
Ta 0.0000 0.0000 0.0000
Sn 0.6667 0.3333 0.5000
Ge 0.3333 0.6667 0.0000
O 0.0355 0.3442 0.2228
O 0.0355 0.6913 0.7772
O 0.3087 0.3442 0.7772
O 0.3087 0.9645 0.2228
O 0.6558 0.6913 0.2228
O 0.6558 0.9645 0.7772

Peak list (8 most intense, 10 to 90 degrees two-theta, most intense first)
| 2θ (°) | I/Imax |
| --- | --- |
| 27.2 | 100 |
| 52.0 | 42 |
| 34.6 | 41 |
| 44.6 | 26 |
| 57.6 | 25 |
| 62.0 | 14 |
| 18.6 | 14 |
| 39.5 | 11 |

---

# 3
Computed XRD peak list
Compound: SrGeO4
Radiation: CuKα
Structure: a DFT-relaxed cell (GGA-PBE, Alexandria)
Kinematic intensities with the Lorentz-polarization factor, no thermal factor.

Crystal structure
Cell: 6.1372 6.1372 6.1372 Å, 108.75 108.75 110.91°
Positions (direct):
Sr 0.0000 0.0000 0.0000
Sr 0.7500 0.2500 0.5000
Ge 0.2500 0.7500 0.5000
Ge 0.5000 0.5000 0.0000
O 0.1691 0.2400 0.7378
O 0.1813 0.7522 0.7622
O 0.2478 0.0100 0.4291
O 0.5022 0.4313 0.2622
O 0.5687 0.8309 0.0709
O 0.5809 0.8187 0.5709
O 0.7600 0.4978 0.9291
O 0.9900 0.4191 0.2378

Peak list (8 most intense, 10 to 90 degrees two-theta, most intense first)
| 2θ (°) | I/Imax |
| --- | --- |
| 31.2 | 100 |
| 24.9 | 96 |
| 48.0 | 80 |
| 35.5 | 35 |
| 57.7 | 21 |
| 72.7 | 20 |
| 59.0 | 18 |
| 86.0 | 16 |

---

# 4
Computed XRD peak list
Compound: Sr3Ge2O6
Radiation: CuKα
Structure: a DFT-relaxed cell (GGA-PBE, Alexandria)
Kinematic intensities with the Lorentz-polarization factor, no thermal factor.

Crystal structure
Cell: 10.1958 10.1958 10.1958 Å, 157.17 157.17 32.51°
Positions (direct):
Sr 0.0000 0.0000 0.0000
Sr 0.1808 0.1808 0.0000
Sr 0.8192 0.8192 0.0000
Ge 0.4024 0.4024 0.0000
Ge 0.5976 0.5976 0.0000
O 0.0891 0.5891 0.5000
O 0.3066 0.3066 0.0000
O 0.4109 0.9109 0.5000
O 0.5891 0.0891 0.5000
O 0.6934 0.6934 0.0000
O 0.9109 0.4109 0.5000

Peak list (8 most intense, 10 to 90 degrees two-theta, most intense first)
| 2θ (°) | I/Imax |
| --- | --- |
| 31.8 | 100 |
| 31.3 | 62 |
| 56.1 | 40 |
| 44.9 | 40 |
| 42.1 | 13 |
| 66.6 | 12 |
| 57.1 | 12 |
| 65.4 | 12 |

---

# 5
Computed XRD peak list
Compound: Sr5Ge2O
Radiation: CuKα
Structure: a DFT-relaxed cell (GGA-PBE, Alexandria)
Kinematic intensities with the Lorentz-polarization factor, no thermal factor.

Crystal structure
Cell: 7.2717 7.2717 14.3749 Å, 90.00 90.00 130.66°
Positions (direct):
Sr 0.0581 0.9419 0.6245
Sr 0.0581 0.9419 0.8755
Sr 0.2915 0.7085 0.2500
Sr 0.3285 0.6715 0.6081
Sr 0.3285 0.6715 0.8919
Sr 0.6715 0.3285 0.1081
Sr 0.6715 0.3285 0.3919
Sr 0.7085 0.2915 0.7500
Sr 0.9419 0.0581 0.1245
Sr 0.9419 0.0581 0.3755
Ge 0.1747 0.8253 0.0647
Ge 0.1747 0.8253 0.4353
Ge 0.8253 0.1747 0.5647
Ge 0.8253 0.1747 0.9353
O 0.1902 0.8098 0.7500
O 0.8098 0.1902 0.2500

Peak list (8 most intense, 10 to 90 degrees two-theta, most intense first)
| 2θ (°) | I/Imax |
| --- | --- |
| 29.4 | 100 |
| 32.9 | 99 |
| 44.7 | 83 |
| 35.2 | 50 |
| 22.9 | 48 |
| 37.6 | 42 |
| 16.1 | 42 |
| 25.7 | 41 |

---

# 6
Computed XRD peak list
Compound: SrTaGeO5
Radiation: CuKα
Structure: a DFT-relaxed cell (GGA-PBE, Alexandria)
Kinematic intensities with the Lorentz-polarization factor, no thermal factor.

Crystal structure
Cell: 5.9383 5.9383 7.7353 Å, 105.77 105.77 105.43°
Positions (direct):
Sr 0.1780 0.8220 0.7500
Sr 0.8220 0.1780 0.2500
Ta 0.5000 0.5000 0.0000
Ta 0.5000 0.5000 0.5000
Ge 0.1879 0.8121 0.2500
Ge 0.8121 0.1879 0.7500
O 0.1443 0.2519 0.8940
O 0.2061 0.6132 0.4111
O 0.2519 0.1443 0.3940
O 0.3868 0.7939 0.0889
O 0.4503 0.5497 0.7500
O 0.5497 0.4503 0.2500
O 0.6132 0.2061 0.9111
O 0.7481 0.8557 0.6060
O 0.7939 0.3868 0.5889
O 0.8557 0.7481 0.1060

Peak list (8 most intense, 10 to 90 degrees two-theta, most intense first)
| 2θ (°) | I/Imax |
| --- | --- |
| 25.0 | 100 |
| 31.6 | 78 |
| 27.7 | 65 |
| 16.7 | 57 |
| 32.1 | 53 |
| 34.1 | 32 |
| 51.6 | 25 |
| 39.4 | 22 |

---

# 7
Computed XRD peak list
Compound: SrTl3Ge4O12
Radiation: CuKα
Structure: a DFT-relaxed cell (GGA-PBE, Alexandria)
Kinematic intensities with the Lorentz-polarization factor, no thermal factor.

Crystal structure
Cell: 7.3776 7.3776 7.3776 Å, 104.45 104.45 104.45°
Positions (direct):
Sr 0.0000 0.0000 0.0000
Tl 0.0000 0.5381 0.4619
Tl 0.4619 0.0000 0.5381
Tl 0.5381 0.4619 0.0000
Ge 0.0367 0.5000 0.9633
Ge 0.5000 0.5000 0.5000
Ge 0.5000 0.9633 0.0367
Ge 0.9633 0.0367 0.5000
O 0.0281 0.6534 0.8221
O 0.1113 0.8887 0.5000
O 0.1779 0.3466 0.9719
O 0.3466 0.9719 0.1779
O 0.3519 0.6481 0.5000
O 0.5000 0.1113 0.8887
O 0.5000 0.3519 0.6481
O 0.6481 0.5000 0.3519
O 0.6534 0.8221 0.0281
O 0.8221 0.0281 0.6534
O 0.8887 0.5000 0.1113
O 0.9719 0.1779 0.3466

Peak list (8 most intense, 10 to 90 degrees two-theta, most intense first)
| 2θ (°) | I/Imax |
| --- | --- |
| 26.5 | 100 |
| 30.7 | 42 |
| 51.4 | 28 |
| 43.9 | 27 |
| 33.5 | 26 |
| 25.3 | 21 |
| 20.1 | 21 |
| 40.9 | 21 |

---

# 8
Computed XRD peak list
Compound: SrTlGeO4
Radiation: CuKα
Structure: a DFT-relaxed cell (GGA-PBE, Alexandria)
Kinematic intensities with the Lorentz-polarization factor, no thermal factor.

Crystal structure
Cell: 5.8983 5.8983 7.3807 Å, 90.00 90.00 115.69°
Positions (direct):
Sr 0.0000 0.0000 0.0000
Sr 0.0000 0.0000 0.5000
Tl 0.3259 0.6741 0.7500
Tl 0.6741 0.3259 0.2500
Ge 0.3563 0.6437 0.2500
Ge 0.6437 0.3563 0.7500
O 0.2445 0.3072 0.2500
O 0.2476 0.7524 0.0598
O 0.2476 0.7524 0.4402
O 0.3072 0.2445 0.7500
O 0.6928 0.7555 0.2500
O 0.7524 0.2476 0.5598
O 0.7524 0.2476 0.9402
O 0.7555 0.6928 0.7500

Peak list (8 most intense, 10 to 90 degrees two-theta, most intense first)
| 2θ (°) | I/Imax |
| --- | --- |
| 30.4 | 100 |
| 29.5 | 97 |
| 28.4 | 65 |
| 20.6 | 44 |
| 41.9 | 35 |
| 59.1 | 31 |
| 24.1 | 28 |
| 39.2 | 26 |